(1)
Computed XRD peak list
Compound: LiLa3Ti2O9
Radiation: Cu Kα (λ = 1.5418 Å)
Structure: a crystal structure in the Materials Project, relaxed with GGA-PBE
No peak broadening, texture or thermal motion is included.

Structural model:
abc: 7.9030 5.6492 18.5099
angles: 90.00 115.18 90.00
Space group P2_1/c (No. 14)
Symmetry-distinct sites (fractional):
1 Li 0.1667 0.0011 0.1656
2 La 0.0734 0.5505 0.8278
3 La 0.2416 0.0320 0.0030
4 La 0.4083 0.5420 0.1678
5 Ti 0.0000 0.0000 0.5000
6 Ti 0.3271 0.0084 0.8310
7 Ti 0.5000 0.0000 0.5000
8 O 0.1053 0.7204 0.5658
9 O 0.1258 0.5261 0.3640
10 O 0.1361 0.1962 0.5929
11 O 0.2004 0.6983 0.2430
12 O 0.2223 0.2181 0.2691
13 O 0.2253 0.0145 0.4721
14 O 0.4531 0.5213 0.6908
15 O 0.4534 0.7052 0.9073
16 O 0.4755 0.2173 0.9324

The 8 most intense peaks (2θ = 5–70°), sorted by position:
22.4°, d 3.971, intensity 39, hkl 0 1 3
22.5°, d 3.952, intensity 22, hkl 2 0 -2
31.7°, d 2.825, intensity 22, hkl 0 2 0
32.0°, d 2.801, intensity 100, hkl 2 1 1
32.1°, d 2.792, intensity 25, hkl 0 0 6
39.5°, d 2.280, intensity 23, hkl 2 0 4
45.7°, d 1.986, intensity 27, hkl 0 2 6
57.1°, d 1.614, intensity 28, hkl 2 1 7

---

(2)
Computed XRD peak list
Compound: LiLa3Ti4O12
Radiation: Cu Kα (λ = 1.5418 Å)
Structure: a crystal structure in the Materials Project, relaxed with GGA-PBE
No peak broadening, texture or thermal motion is included.

Structural model:
abc: 7.9531 7.8008 7.8316
angles: 90.00 90.65 90.00
Space group Cm (No. 8)
Symmetry-distinct sites (fractional):
1 Li 0.0000 0.0000 0.0000
2 La 0.4208 0.5000 0.5626
3 La 0.4242 0.0000 0.5724
4 La 0.4249 0.0000 0.0742
5 Ti 0.1695 0.2501 0.3166
6 Ti 0.1754 0.2541 0.8276
7 O 0.1627 0.5000 0.8708
8 O 0.1637 0.5000 0.2811
9 O 0.1663 0.1931 0.0732
10 O 0.1682 0.0000 0.3824
11 O 0.1712 0.0000 0.7721
12 O 0.1728 0.3024 0.5741
13 O 0.4185 0.2390 0.3351
14 O 0.4223 0.2490 0.8184

The 8 most intense peaks (2θ = 5–70°), sorted by position:
15.9°, d 5.569, intensity 33, hkl 1 1 0
31.9°, d 2.806, intensity 44, hkl 2 0 -2
32.1°, d 2.784, intensity 87, hkl 2 2 0
32.3°, d 2.774, intensity 44, hkl 2 0 2
32.4°, d 2.763, intensity 100, hkl 0 2 2
45.6°, d 1.988, intensity 36, hkl 4 0 0
57.3°, d 1.608, intensity 38, hkl 4 2 2
57.8°, d 1.596, intensity 38, hkl 2 4 2

---

(3)
Computed XRD peak list
Compound: LiLa5Ti8O24
Radiation: Cu Kα (λ = 1.5418 Å)
Structure: a crystal structure in the Materials Project, relaxed with GGA-PBE
No peak broadening, texture or thermal motion is included.

Structural model:
abc: 7.7691 7.8524 7.8211
angles: 90.00 90.00 90.00
Space group Pmm2 (No. 25)
Symmetry-distinct sites (fractional):
1 Li 0.0000 0.0000 0.0000
2 La 0.0000 0.5000 0.3397
3 La 0.0000 0.5000 0.8483
4 La 0.5000 0.0000 0.8218
5 La 0.5000 0.5000 0.3483
6 La 0.5000 0.5000 0.8304
7 Ti 0.2451 0.2385 0.5869
8 Ti 0.2503 0.2414 0.0963
9 O 0.0000 0.2328 0.0830
10 O 0.0000 0.2977 0.5939
11 O 0.2114 0.5000 0.0910
12 O 0.2391 0.0000 0.6141
13 O 0.2484 0.2712 0.3405
14 O 0.2604 0.2708 0.8405
15 O 0.2736 0.0000 0.0637
16 O 0.2859 0.5000 0.5862
17 O 0.5000 0.2328 0.6002
18 O 0.5000 0.2923 0.0916

The 8 most intense peaks (2θ = 5–70°), sorted by position:
11.3°, d 7.849, intensity 67, hkl 0 1 0
16.0°, d 5.526, intensity 20, hkl 0 1 1
25.4°, d 3.502, intensity 26, hkl 0 1 2
25.6°, d 3.483, intensity 22, hkl 2 1 0
32.3°, d 2.771, intensity 49, hkl 0 2 2
32.5°, d 2.759, intensity 100, hkl 2 2 0
40.0°, d 2.256, intensity 29, hkl 2 2 2
57.7°, d 1.599, intensity 20, hkl 2 4 2

---

(4)
Computed XRD peak list
Compound: LiLa3Ti4O12
Radiation: Cu Kα (λ = 1.5418 Å)
Structure: a crystal structure in the Materials Project, relaxed with GGA-PBE
No peak broadening, texture or thermal motion is included.

Structural model:
abc: 5.5559 5.5559 15.7448
angles: 90.00 90.00 90.00
Space group I4/mmm (No. 139)
Symmetry-distinct sites (fractional):
1 Li 0.0000 0.0000 0.0000
2 La 0.0000 0.0000 0.2485
3 La 0.0000 0.0000 0.5000
4 Ti 0.0000 0.5000 0.1226
5 O 0.0000 0.5000 0.0000
6 O 0.0000 0.5000 0.2500
7 O 0.2452 0.2452 0.3721

The 8 most intense peaks (2θ = 5–70°), sorted by position:
11.2°, d 7.872, intensity 12, hkl 0 0 2
16.9°, d 5.239, intensity 19, hkl 1 0 1
23.3°, d 3.815, intensity 10, hkl 1 0 3
32.2°, d 2.780, intensity 100, hkl 2 0 0
39.7°, d 2.270, intensity 23, hkl 2 0 4
46.2°, d 1.966, intensity 38, hkl 2 2 0
57.4°, d 1.605, intensity 38, hkl 3 1 4
67.4°, d 1.390, intensity 22, hkl 4 0 0